Theoretical powder X-ray diffraction pattern
Compound: AlH3O3
Radiation: Cu Kα
Structure: a structure optimized by DFT (GGA-PBE)

Crystal structure
Unit cell a=5.1730 b=5.1730 c=4.7854 alpha=90.29 beta=90.29 gamma=121.61
Atoms (fractional coordinates):
Al  0.1642  0.8358  0.0000
Al  0.8358  0.1642  0.0000
H  0.0723  0.0723  0.4146
H  0.0797  0.4935  0.5929
H  0.4673  0.6962  0.2882
H  0.4935  0.0797  0.5929
H  0.6802  0.6802  0.7454
H  0.6962  0.4673  0.2882
O  0.1304  0.4997  0.7914
O  0.1319  0.1319  0.2198
O  0.4956  0.8889  0.2303
O  0.4997  0.1304  0.7914
O  0.8715  0.8715  0.7800
O  0.8889  0.4956  0.2303

Most intense lines, 2θ = 10–90°, by intensity:
- 2θ = 18.54°, intensity 100
- 2θ = 39.71°, intensity 86
- 2θ = 20.16°, intensity 56
- 2θ = 40.23°, intensity 40
- 2θ = 52.23°, intensity 31
- 2θ = 19.66°, intensity 31
- 2θ = 63.33°, intensity 18
- 2θ = 52.43°, intensity 16

---

Theoretical powder X-ray diffraction pattern
Compound: AlH3O3
Radiation: Cu Kα
Structure: a structure optimized by DFT (GGA-PBE)

Crystal structure
Unit cell a=5.0863 b=8.7821 c=9.3842 alpha=89.51 beta=89.31 gamma=89.56
Atoms (fractional coordinates):
Al  0.0000  0.0000  0.0000
Al  0.0053  0.4935  0.5342
Al  0.4470  0.9923  0.5130
Al  0.4549  0.4791  0.0354
Al  0.4780  0.1466  0.9999
Al  0.4965  0.6664  0.5284
Al  0.9525  0.1600  0.5148
Al  0.9719  0.6639  0.0311
H  0.0668  0.4018  0.9196
H  0.1171  0.8181  0.8064
H  0.1345  0.2823  0.7349
H  0.1457  0.7940  0.4094
H  0.1476  0.2829  0.1349
H  0.1616  0.0520  0.7264
H  0.1903  0.6089  0.7426
H  0.2796  0.0222  0.2172
H  0.3109  0.5157  0.3253
H  0.3208  0.2128  0.3377
H  0.3363  0.7138  0.1999
H  0.5005  0.2276  0.6325
H  0.5447  0.7460  0.8977
H  0.5693  0.4412  0.6753
H  0.6512  0.8574  0.1279
H  0.6619  0.3637  0.4066
H  0.6689  0.0110  0.7962
H  0.6692  0.6043  0.8027
H  0.7406  0.3182  0.8451
H  0.7731  0.1180  0.2133
H  0.8002  0.6245  0.3244
H  0.8036  0.8528  0.6279
H  0.8278  0.9385  0.3414
H  0.8361  0.4298  0.1851
O  0.1142  0.3159  0.6340
O  0.1257  0.8123  0.9101
O  0.1313  0.0093  0.6269
O  0.1423  0.5042  0.9252
O  0.1792  0.1383  0.8892
O  0.1812  0.6398  0.6420
O  0.2509  0.1296  0.3965
O  0.2691  0.6303  0.1426
O  0.3117  0.9933  0.1174
O  0.3316  0.5009  0.4284
O  0.3352  0.8150  0.4107
O  0.3364  0.3070  0.1351
O  0.5946  0.3322  0.9104
O  0.6125  0.8373  0.6274
O  0.6279  0.1450  0.6186
O  0.6395  0.6466  0.9065
O  0.6799  0.0026  0.8998
O  0.6833  0.5285  0.6571
O  0.7557  0.0216  0.3986
O  0.7590  0.5199  0.1391
O  0.8059  0.1474  0.1134
O  0.8241  0.6503  0.4253
O  0.8405  0.8334  0.1263
O  0.8507  0.3432  0.4171

Most intense lines, 2θ = 10–90°, by intensity:
- 2θ = 18.92°, intensity 100
- 2θ = 40.54°, intensity 57
- 2θ = 22.35°, intensity 33
- 2θ = 20.22°, intensity 27
- 2θ = 40.09°, intensity 24
- 2θ = 45.68°, intensity 18
- 2θ = 46.29°, intensity 17
- 2θ = 22.43°, intensity 17

---

Copy entry 2 word for word.
Theoretical powder X-ray diffraction pattern
Compound: AlH3O3
Radiation: Cu Kα
Structure: a structure optimized by DFT (GGA-PBE)

Crystal structure
Unit cell a=5.0863 b=8.7821 c=9.3842 alpha=89.51 beta=89.31 gamma=89.56
Atoms (fractional coordinates):
Al  0.0000  0.0000  0.0000
Al  0.0053  0.4935  0.5342
Al  0.4470  0.9923  0.5130
Al  0.4549  0.4791  0.0354
Al  0.4780  0.1466  0.9999
Al  0.4965  0.6664  0.5284
Al  0.9525  0.1600  0.5148
Al  0.9719  0.6639  0.0311
H  0.0668  0.4018  0.9196
H  0.1171  0.8181  0.8064
H  0.1345  0.2823  0.7349
H  0.1457  0.7940  0.4094
H  0.1476  0.2829  0.1349
H  0.1616  0.0520  0.7264
H  0.1903  0.6089  0.7426
H  0.2796  0.0222  0.2172
H  0.3109  0.5157  0.3253
H  0.3208  0.2128  0.3377
H  0.3363  0.7138  0.1999
H  0.5005  0.2276  0.6325
H  0.5447  0.7460  0.8977
H  0.5693  0.4412  0.6753
H  0.6512  0.8574  0.1279
H  0.6619  0.3637  0.4066
H  0.6689  0.0110  0.7962
H  0.6692  0.6043  0.8027
H  0.7406  0.3182  0.8451
H  0.7731  0.1180  0.2133
H  0.8002  0.6245  0.3244
H  0.8036  0.8528  0.6279
H  0.8278  0.9385  0.3414
H  0.8361  0.4298  0.1851
O  0.1142  0.3159  0.6340
O  0.1257  0.8123  0.9101
O  0.1313  0.0093  0.6269
O  0.1423  0.5042  0.9252
O  0.1792  0.1383  0.8892
O  0.1812  0.6398  0.6420
O  0.2509  0.1296  0.3965
O  0.2691  0.6303  0.1426
O  0.3117  0.9933  0.1174
O  0.3316  0.5009  0.4284
O  0.3352  0.8150  0.4107
O  0.3364  0.3070  0.1351
O  0.5946  0.3322  0.9104
O  0.6125  0.8373  0.6274
O  0.6279  0.1450  0.6186
O  0.6395  0.6466  0.9065
O  0.6799  0.0026  0.8998
O  0.6833  0.5285  0.6571
O  0.7557  0.0216  0.3986
O  0.7590  0.5199  0.1391
O  0.8059  0.1474  0.1134
O  0.8241  0.6503  0.4253
O  0.8405  0.8334  0.1263
O  0.8507  0.3432  0.4171

Most intense lines, 2θ = 10–90°, by intensity:
- 2θ = 18.92°, intensity 100
- 2θ = 40.54°, intensity 57
- 2θ = 22.35°, intensity 33
- 2θ = 20.22°, intensity 27
- 2θ = 40.09°, intensity 24
- 2θ = 45.68°, intensity 18
- 2θ = 46.29°, intensity 17
- 2θ = 22.43°, intensity 17

---

What is the formula in the first record?
AlH3O3